# MgZrZn10
Simulated XRD peak list, Cu Kα X-rays. Input: a crystal structure in Alexandria, relaxed with PBE.

```
MgZrZn10
1.0
4.2221 0.0000 0.0000
0.0000 5.1374 0.0000
0.0000 0.0000 8.9842
Mg Zr Zn
1 1 10
Direct
0.0000 0.0000 0.0000 Mg
0.0000 0.5000 0.5000 Zr
0.0000 0.0000 0.3280 Zn
0.0000 0.0000 0.6720 Zn
0.0000 0.5000 0.1624 Zn
0.0000 0.5000 0.8376 Zn
0.5000 0.0000 0.5000 Zn
0.5000 0.2579 0.2612 Zn
0.5000 0.2579 0.7388 Zn
0.5000 0.5000 0.0000 Zn
0.5000 0.7421 0.2612 Zn
0.5000 0.7421 0.7388 Zn
```

Principal peaks in the range 2θ = 5–70°, by angle:
19.91°, d = 4.460 Å, intensity 29, (0 1 1); 40.45°, d = 2.230 Å, intensity 27, (0 2 2); 40.91°, d = 2.206 Å, intensity 100, (1 1 3); 41.13°, d = 2.194 Å, intensity 49, (1 2 0); 42.84°, d = 2.111 Å, intensity 50, (2 0 0); 46.03°, d = 1.972 Å, intensity 47, (1 2 2)